# 1
Theoretical powder diffractogram
Compound: Rb4BaCl6
Radiation: CuKα
Structure: a DFT-relaxed cell (GGA-PBE, Alexandria)
Lines closer than 0.1° are merged.

Peak list (6 most intense, 10° ≤ 2θ ≤ 90°, sorted by position)
2θ (°)  Rel. int.
22.5  93
26.3  39
27.2  100
28.6  44
37.7  72
46.3  38

Structural model:
```
data_Rb4BaCl6
_chemical_formula_sum 'Rb8 Ba2 Cl12'
_symmetry_space_group_name_H-M 'P 1'
_symmetry_Int_Tables_number 1
_cell_length_a 8.189
_cell_length_b 8.189
_cell_length_c 22.836
_cell_angle_alpha 90.00
_cell_angle_beta 90.00
_cell_angle_gamma 148.02
loop_
_symmetry_equiv_pos_as_xyz
'x,y,z'
loop_
_atom_site_label
_atom_site_type_symbol
_atom_site_fract_x
_atom_site_fract_y
_atom_site_fract_z
_atom_site_occupancy
Rb1 Rb 0.088 0.912 0.633 1
Rb2 Rb 0.088 0.912 0.867 1
Rb3 Rb 0.359 0.641 0.541 1
Rb4 Rb 0.359 0.641 0.959 1
Rb5 Rb 0.641 0.359 0.041 1
Rb6 Rb 0.641 0.359 0.459 1
Rb7 Rb 0.912 0.088 0.133 1
Rb8 Rb 0.912 0.088 0.367 1
Ba1 Ba 0.162 0.838 0.250 1
Ba2 Ba 0.838 0.162 0.750 1
Cl1 Cl 0.000 0.000 0.000 1
Cl2 Cl 0.000 0.000 0.500 1
Cl3 Cl 0.205 0.795 0.750 1
Cl4 Cl 0.271 0.729 0.095 1
Cl5 Cl 0.271 0.729 0.405 1
Cl6 Cl 0.435 0.565 0.673 1
Cl7 Cl 0.435 0.565 0.827 1
Cl8 Cl 0.565 0.435 0.173 1
Cl9 Cl 0.565 0.435 0.327 1
Cl10 Cl 0.729 0.271 0.595 1
Cl11 Cl 0.729 0.271 0.905 1
Cl12 Cl 0.795 0.205 0.250 1
```

***

# 2
Theoretical powder diffractogram
Compound: LaHoAs2Pd5
Radiation: CuKα
Structure: a DFT-relaxed cell (GGA-PBE, Alexandria)
Lines closer than 0.1° are merged.

Peak list (6 most intense, 10° ≤ 2θ ≤ 90°, sorted by position)
2θ (°)  Rel. int.
35.3  100
42.1  46
58.5  14
61.1  15
67.9  14
72.5  24

Structural model:
```
data_LaHoAs2Pd5
_chemical_formula_sum 'La1 Ho1 As2 Pd5'
_symmetry_space_group_name_H-M 'P 1'
_symmetry_Int_Tables_number 1
_cell_length_a 4.292
_cell_length_b 4.292
_cell_length_c 9.308
_cell_angle_alpha 90.00
_cell_angle_beta 90.00
_cell_angle_gamma 90.00
loop_
_symmetry_equiv_pos_as_xyz
'x,y,z'
loop_
_atom_site_label
_atom_site_type_symbol
_atom_site_fract_x
_atom_site_fract_y
_atom_site_fract_z
_atom_site_occupancy
La1 La 0.000 0.000 0.000 1
Ho1 Ho 0.000 0.000 0.500 1
As1 As 0.500 0.500 0.365 1
As2 As 0.500 0.500 0.635 1
Pd1 Pd 0.000 0.500 0.231 1
Pd2 Pd 0.000 0.500 0.769 1
Pd3 Pd 0.500 0.000 0.231 1
Pd4 Pd 0.500 0.000 0.769 1
Pd5 Pd 0.500 0.500 0.000 1
```